(1)
Starting from a structure optimized by DFT (GGA-PBE), the powder diffraction line list of LaTbB12 was computed for a wavelength of 1.5418 Å.
Peak positions follow from Bragg's law for the DFT cell and can differ from measured ones.

Principal peaks in the range 10° ≤ 2θ ≤ 80°, in order of rising 2θ:
Position (°2θ)  I (rel.)  h k l
21.53  66.2  1 0 0
30.64  100.0  1 1 0
37.76  42.2  1 1 2
43.88  21.5  2 0 0
49.38  49.8  2 1 0
54.46  27.5  2 1 2
63.79  10.1  2 2 0
68.17  27.8  2 2 2
72.42  19.8  3 1 0
76.57  12.8  3 1 2

Atomic structure:
```
data_LaTbB12
_chemical_formula_sum 'La1 Tb1 B12'
_cell_length_a 4.1271
_cell_length_b 4.1271
_cell_length_c 8.2531
_cell_angle_alpha 90.00
_cell_angle_beta 90.00
_cell_angle_gamma 90.00
_symmetry_space_group_name_H-M 'P 4/m m m'
_symmetry_Int_Tables_number 123
_symmetry_space_group_name_Hall '-P 4 2'
loop_
_atom_site_label
_atom_site_type_symbol
_atom_site_fract_x
_atom_site_fract_y
_atom_site_fract_z
_atom_site_occupancy
La1 La 0.0000 0.0000 0.0000 1
Tb1 Tb 0.0000 0.0000 0.5000 1
B1 B 0.1994 0.5000 0.2523 1
B2 B 0.5000 0.5000 0.1007 1
B3 B 0.5000 0.5000 0.4016 1
```


(2)
Starting from a structure optimized by DFT (GGA-PBE), the powder diffraction line list of NaCa3Hg was computed for a wavelength of 1.5418 Å.
Peak positions follow from Bragg's law for the DFT cell and can differ from measured ones.

Principal peaks in the range 10° ≤ 2θ ≤ 80°, in order of rising 2θ:
Position (°2θ)  I (rel.)  h k l
10.54  100.0  0 1 0
12.20  29.1  0 1 -1
17.38  18.7  0 0 2
30.23  58.2  0 2 2
30.92  56.5  1 2 -1
31.65  54.4  1 0 2
31.93  17.8  1 -1 2
53.66  18.8  1 4 1
55.06  17.4  1 2 4
56.33  19.3  2 2 1

Atomic structure:
```
data_NaCa3Hg
_chemical_formula_sum 'Na2 Ca6 Hg2'
_cell_length_a 3.9188
_cell_length_b 8.5735
_cell_length_c 10.6130
_cell_angle_alpha 101.67
_cell_angle_beta 100.64
_cell_angle_gamma 90.01
_symmetry_space_group_name_H-M 'P -1'
_symmetry_Int_Tables_number 2
loop_
_symmetry_equiv_pos_as_xyz
'x,y,z'
'-x,-y,-z'
loop_
_atom_site_label
_atom_site_type_symbol
_atom_site_fract_x
_atom_site_fract_y
_atom_site_fract_z
_atom_site_occupancy
Na1 Na 0.0936 0.0413 0.1861 1
Ca1 Ca 0.3083 0.1827 0.6177 1
Ca2 Ca 0.3192 0.6297 0.6384 1
Ca3 Ca 0.4984 0.2971 0.9970 1
Hg1 Hg 0.1010 0.5578 0.2014 1
```


(3)
Starting from a structure optimized by DFT (GGA-PBE), the powder diffraction line list of Sm4Y5Th4 was computed for a wavelength of 1.5418 Å.
Peak positions follow from Bragg's law for the DFT cell and can differ from measured ones.

Principal peaks in the range 10° ≤ 2θ ≤ 80°, in order of rising 2θ:
Position (°2θ)  I (rel.)  h k l
23.28  4.0  1 2 1
30.46  100.0  2 3 1
33.52  3.1  1 4 1
35.31  49.0  0 0 2
36.73  2.1  1 1 2
39.00  2.8  3 4 1
50.80  35.0  5 1 2
60.40  42.0  2 3 3
63.39  12.0  4 6 2
74.65  3.7  10 2 0

Atomic structure:
```
data_Sm4Y5Th4
_chemical_formula_sum 'Sm8 Y10 Th8'
_cell_length_a 12.9655
_cell_length_b 12.9655
_cell_length_c 5.0784
_cell_angle_alpha 90.00
_cell_angle_beta 90.00
_cell_angle_gamma 90.00
_symmetry_space_group_name_H-M 'I 4/m'
_symmetry_Int_Tables_number 87
_symmetry_space_group_name_Hall '-I 4'
loop_
_atom_site_label
_atom_site_type_symbol
_atom_site_fract_x
_atom_site_fract_y
_atom_site_fract_z
_atom_site_occupancy
Sm1 Sm 0.1532 0.2342 0.0000 1
Y1 Y 0.0000 0.0000 0.0000 1
Y2 Y 0.0378 0.8045 0.5000 1
Th1 Th 0.0752 0.6117 0.0000 1
```


What did the first record say?
Starting from a structure optimized by DFT (GGA-PBE), the powder diffraction line list of LaTbB12 was computed for a wavelength of 1.5418 Å.
Peak positions follow from Bragg's law for the DFT cell and can differ from measured ones.

Principal peaks in the range 10° ≤ 2θ ≤ 80°, in order of rising 2θ:
Position (°2θ)  I (rel.)  h k l
21.53  66.2  1 0 0
30.64  100.0  1 1 0
37.76  42.2  1 1 2
43.88  21.5  2 0 0
49.38  49.8  2 1 0
54.46  27.5  2 1 2
63.79  10.1  2 2 0
68.17  27.8  2 2 2
72.42  19.8  3 1 0
76.57  12.8  3 1 2

Atomic structure:
```
data_LaTbB12
_chemical_formula_sum 'La1 Tb1 B12'
_cell_length_a 4.1271
_cell_length_b 4.1271
_cell_length_c 8.2531
_cell_angle_alpha 90.00
_cell_angle_beta 90.00
_cell_angle_gamma 90.00
_symmetry_space_group_name_H-M 'P 4/m m m'
_symmetry_Int_Tables_number 123
_symmetry_space_group_name_Hall '-P 4 2'
loop_
_atom_site_label
_atom_site_type_symbol
_atom_site_fract_x
_atom_site_fract_y
_atom_site_fract_z
_atom_site_occupancy
La1 La 0.0000 0.0000 0.0000 1
Tb1 Tb 0.0000 0.0000 0.5000 1
B1 B 0.1994 0.5000 0.2523 1
B2 B 0.5000 0.5000 0.1007 1
B3 B 0.5000 0.5000 0.4016 1
```


What did the third record say?
Starting from a structure optimized by DFT (GGA-PBE), the powder diffraction line list of Sm4Y5Th4 was computed for a wavelength of 1.5418 Å.
Peak positions follow from Bragg's law for the DFT cell and can differ from measured ones.

Principal peaks in the range 10° ≤ 2θ ≤ 80°, in order of rising 2θ:
Position (°2θ)  I (rel.)  h k l
23.28  4.0  1 2 1
30.46  100.0  2 3 1
33.52  3.1  1 4 1
35.31  49.0  0 0 2
36.73  2.1  1 1 2
39.00  2.8  3 4 1
50.80  35.0  5 1 2
60.40  42.0  2 3 3
63.39  12.0  4 6 2
74.65  3.7  10 2 0

Atomic structure:
```
data_Sm4Y5Th4
_chemical_formula_sum 'Sm8 Y10 Th8'
_cell_length_a 12.9655
_cell_length_b 12.9655
_cell_length_c 5.0784
_cell_angle_alpha 90.00
_cell_angle_beta 90.00
_cell_angle_gamma 90.00
_symmetry_space_group_name_H-M 'I 4/m'
_symmetry_Int_Tables_number 87
_symmetry_space_group_name_Hall '-I 4'
loop_
_atom_site_label
_atom_site_type_symbol
_atom_site_fract_x
_atom_site_fract_y
_atom_site_fract_z
_atom_site_occupancy
Sm1 Sm 0.1532 0.2342 0.0000 1
Y1 Y 0.0000 0.0000 0.0000 1
Y2 Y 0.0378 0.8045 0.5000 1
Th1 Th 0.0752 0.6117 0.0000 1
```